Calculated powder XRD pattern of TbInCu4 for Cu Kα, from the GGA-PBE geometry in the Materials Project.
No peak broadening, texture or thermal motion is included.

Atomic structure:
```
6
Lattice="0.0000 3.6177 3.6177 3.6177 0.0000 3.6177 3.6177 3.6177 0.0000" Properties=species:S:1:pos:R:3 pbc="T T T"
Tb 0.0000 0.0000 0.0000
In 5.4265 5.4265 5.4265
Cu 2.7152 2.7152 2.7152
Cu 4.5201 4.5201 2.7152
Cu 4.5201 2.7152 4.5201
Cu 2.7152 4.5201 4.5201
```

Top 10 peaks for 10° ≤ 2θ ≤ 80°, in order of rising 2θ:
2theta	intensity
21.3	6
24.6	1
35.1	54
41.4	100
43.3	20
55.3	2
62.9	19
67.2	30
74.1	23
78.2	1